# Fe14GeMo
Theoretical PXRD pattern, a wavelength of 1.5418 Å. Input: a cell relaxed with PBE.
Kinematic intensities with the Lorentz-polarization factor, no thermal factor.

Structural model:
Unit cell a=4.9661 b=4.9661 c=8.1075 alpha=90.00 beta=90.00 gamma=108.94
Atoms (fractional coordinates):
Fe: 0.0000 0.0000 0.0000
Fe: 0.0000 0.5000 0.0000
Fe: 0.0000 0.5000 0.5000
Fe: 0.2491 0.7509 0.2475
Fe: 0.2491 0.7509 0.7525
Fe: 0.2496 0.2496 0.2436
Fe: 0.2496 0.2496 0.7564
Fe: 0.5000 0.0000 0.0000
Fe: 0.5000 0.0000 0.5000
Fe: 0.5000 0.5000 0.0000
Fe: 0.7504 0.7504 0.2436
Fe: 0.7504 0.7504 0.7564
Fe: 0.7509 0.2491 0.2475
Fe: 0.7509 0.2491 0.7525
Ge: 0.0000 0.0000 0.5000
Mo: 0.5000 0.5000 0.5000

Top 10 peaks for 10 to 80 degrees two-theta, most intense first:
- d 2.032, 2θ = 44.6°, rel. 100
- d 2.027, 2θ = 44.7°, rel. 25
- d 2.021, 2θ = 44.9°, rel. 25
- d 1.431, 2θ = 65.2°, rel. 15
- d 1.443, 2θ = 64.6°, rel. 8
- d 8.107, 2θ = 10.9°, rel. 1
- d 4.058, 2θ = 21.9°, rel. 1
- d 2.256, 2θ = 40.0°, rel. 1
- d 3.617, 2θ = 24.6°, rel. 1
- d 2.702, 2θ = 33.1°, rel. 1